Record 1
This entry pairs a crystal structure of La4Pm3Tm2 with its simulated XRD peak list. Radiation: λ = 1.5418 Å (Cu Kα). Structure: DFT lattice parameters and positions (GGA-PBE).
Intensities are scaled so that the largest is 100.

Structure:
```
data_La4Pm3Tm2
_symmetry_space_group_name_H-M 'C 1 2/m 1'
_symmetry_Int_Tables_number 12
_cell_length_a 15.5384
_cell_length_b 5.2000
_cell_length_c 8.1269
_cell_angle_alpha 90.00
_cell_angle_beta 108.37
_cell_angle_gamma 90.00
loop_
_symmetry_equiv_pos_as_xyz
'x,y,z'
'-x,-y,-z'
'-x,y,-z'
'x,-y,z'
'x+1/2,y+1/2,z'
'-x+1/2,-y+1/2,-z'
'-x+1/2,y+1/2,-z'
'x+1/2,-y+1/2,z'
loop_
_atom_site_label
_atom_site_type_symbol
_atom_site_fract_x
_atom_site_fract_y
_atom_site_fract_z
_atom_site_occupancy
La1 La 0.0544 0.0000 0.3285 1
La2 La 0.2236 0.5000 0.3298 1
Pm1 Pm 0.0000 0.5000 0.0000 1
Pm2 Pm 0.1123 0.5000 0.6703 1
Tm1 Tm 0.1683 0.0000 0.9993 1
```

Most intense lines, 10 to 90 degrees two-theta, sorted by position:
d (Å), Rel. int., (hkl)
2.987, 100, 3 1 1
2.600, 17, 0 2 0
2.590, 17, 6 0 -1
2.571, 17, 0 0 3
1.828, 18, 6 0 2
1.566, 15, 3 3 1



Record 2
This entry pairs a crystal structure of Pm2Mg4Sn5 with its simulated XRD peak list. Radiation: λ = 1.5418 Å (Cu Kα). Structure: DFT lattice parameters and positions (GGA-PBE).
Intensities are scaled so that the largest is 100.

Structure:
```
data_Pm2Mg4Sn5
_symmetry_space_group_name_H-M 'R -3 m'
_symmetry_Int_Tables_number 166
_symmetry_space_group_name_Hall '-R 3 2"'
_cell_length_a 4.7376
_cell_length_b 4.7376
_cell_length_c 50.2396
_cell_angle_alpha 90.00
_cell_angle_beta 90.00
_cell_angle_gamma 120.00
loop_
_atom_site_label
_atom_site_type_symbol
_atom_site_fract_x
_atom_site_fract_y
_atom_site_fract_z
_atom_site_occupancy
Pm1 Pm 0.0000 0.0000 0.1333 1
Mg1 Mg 0.0000 0.0000 0.2897 1
Mg2 Mg 0.0000 0.0000 0.4161 1
Sn1 Sn 0.0000 0.0000 0.2339 1
Sn2 Sn 0.0000 0.0000 0.3492 1
Sn3 Sn 0.0000 0.0000 0.5000 1
```

Most intense lines, 10 to 90 degrees two-theta, sorted by position:
d (Å), Rel. int., (hkl)
4.049, 24, 0 1 2
3.435, 89, 0 1 8
3.052, 54, 0 1 11
2.701, 42, 0 1 14
2.369, 100, 1 1 0
2.223, 54, 1 0 19